Diffraction record for Li2VFeF6. The powder diffraction line list is simulated, not measured: it uses a GGA+U-relaxed structure and a wavelength of 1.5418 Å.
Intensities are scaled so that the largest is 1000.

Structure:
```
Li2VFeF6
1.0
5.232 0.000 0.000
-2.604 4.563 0.000
-2.519 -1.586 4.782
Li V Fe F
2 1 1 6
Cartesian
0.000 0.000 0.000
-2.544 1.553 2.332
0.033 3.073 1.800
0.078 -0.005 4.159
-3.568 3.033 3.147
-1.817 2.978 0.775
1.008 1.535 0.705
-0.771 1.645 3.140
1.824 -0.038 3.125
3.443 0.161 0.753
```

Largest 10 diffraction maxima, sorted by position, 2θ from 10° to 90°:
2theta  intensity  hkl
23.0  1000  1 0 0
23.5  482  -1 1 1
31.4  239  1 -1 1
32.0  447  0 1 1
34.1  127  1 -2 0
38.7  135  1 -2 1
39.1  215  1 1 0
51.2  126  2 -1 1
52.4  225  -2 1 3
60.9  125  0 3 -1